# HfCdSb
Theoretical PXRD pattern, λ = 1.5418 Å (Cu Kα). Input: a cell relaxed with GGA-PBE.
Lines closer than 0.1° are merged.

Principal peaks in the range 15° ≤ 2θ ≤ 90°, by intensity:
2θ (°)	intensity	(hkl)
36.5	100.0	3 1 1
34.0	88.7	2 1 1
35.1	75.9	6 0 0
39.8	71.0	4 1 1
33.1	66.0	2 0 2
39.0	61.5	4 0 2
67.4	35.0	6 1 3
55.6	33.7	0 1 3
32.4	23.2	1 1 1
31.5	20.8	1 0 2

Crystal structure
a = 15.3591 Å, b = 3.2095 Å, c = 5.7859 Å
α = 90.00°, β = 90.00°, γ = 90.00°
Sites, in units of the cell vectors:
Hf  0.0000  0.0000  0.0000
Hf  0.0000  0.5000  0.5000
Hf  0.5000  0.0000  0.0412
Hf  0.5000  0.5000  0.5412
Cd  0.1608  0.0000  0.3267
Cd  0.1608  0.5000  0.8267
Cd  0.8392  0.0000  0.3267
Cd  0.8392  0.5000  0.8267
Sb  0.3448  0.0000  0.7166
Sb  0.3448  0.5000  0.2166
Sb  0.6552  0.0000  0.7166
Sb  0.6552  0.5000  0.2166